Diffraction record for Zn4CoO5. The powder X-ray diffraction pattern is theoretical, not measured: it uses DFT lattice parameters and positions (GGA+U) and Cu Kα.

Main lines, by angle (2θ = 10–90°):
2θ/deg	I (rel.)
31.4	52
33.8	39
35.8	100
55.9	35
61.8	34
67.0	29

Structural model:
```
data_Zn4CoO5
_cell_length_a 3.2876
_cell_length_b 3.2876
_cell_length_c 26.5123
_cell_angle_alpha 90.00
_cell_angle_beta 90.00
_cell_angle_gamma 120.00
_symmetry_space_group_name_H-M 'P 3 m 1'
_symmetry_Int_Tables_number 156
_symmetry_space_group_name_Hall 'P 3 -2"'
loop_
_atom_site_label
_atom_site_fract_x
_atom_site_fract_y
_atom_site_fract_z
_atom_site_occupancy
Zn1 0.0000 0.0000 0.0000 1
Zn2 0.0000 0.0000 0.1997 1
Zn3 0.0000 0.0000 0.3993 1
Zn4 0.0000 0.0000 0.5996 1
Zn5 0.0000 0.0000 0.7998 1
Zn6 0.3333 0.6667 0.4995 1
Zn7 0.3333 0.6667 0.6997 1
Zn8 0.3333 0.6667 0.8999 1
Co1 0.3333 0.6667 0.1000 1
Co2 0.3333 0.6667 0.2997 1
O1 0.0000 0.0000 0.1240 1
O2 0.0000 0.0000 0.3237 1
O3 0.0000 0.0000 0.5238 1
O4 0.0000 0.0000 0.7240 1
O5 0.0000 0.0000 0.9242 1
O6 0.3333 0.6667 0.0243 1
O7 0.3333 0.6667 0.2240 1
O8 0.3333 0.6667 0.4237 1
O9 0.3333 0.6667 0.6239 1
O10 0.3333 0.6667 0.8241 1
```